No. 1
BaCoO2: computed X-ray diffraction stick pattern (Cu Ka), based on a cell relaxed with PBE+U.
Kinematic intensities with the Lorentz-polarization factor, no thermal factor.

Most intense lines, 2θ from 10° to 90°, by angle:
29.2°, d 3.057, rel. 100, hkl 2 2 0
34.4°, d 2.607, rel. 15, hkl 3 1 1
51.8°, d 1.765, rel. 39, hkl 4 2 2
60.6°, d 1.529, rel. 16, hkl 4 4 0
68.6°, d 1.367, rel. 16, hkl 6 2 0
83.7°, d 1.156, rel. 19, hkl 6 4 2

Cell and atoms:
a b c (Å): 8.6478 8.6478 8.6478
angles (deg): 90.00 90.00 90.00
Space group Fd-3m (No. 227, origin choice 2)
Inequivalent atoms, fractional coordinates:
Ba 0.1250 0.1250 0.1250
Co 0.1250 0.1250 0.6250
O 0.0000 0.0000 0.5000

=====

No. 2
BaCoO3: computed X-ray diffraction stick pattern (Cu Ka), based on a cell relaxed with PBE+U.
Kinematic intensities with the Lorentz-polarization factor, no thermal factor.

Most intense lines, 2θ from 10° to 90°, by angle:
25.7°, d 3.471, rel. 72, hkl -1 1 2
25.7°, d 3.461, rel. 36, hkl 0 1 2
31.3°, d 2.862, rel. 100, hkl 1 1 0
40.8°, d 2.210, rel. 35, hkl 2 -2 2
40.9°, d 2.204, rel. 34, hkl -2 2 2
41.4°, d 2.182, rel. 19, hkl 0 1 -4

Cell and atoms:
a b c (Å): 5.7213 5.7226 9.7076
angles (deg): 90.19 90.10 119.95
Space group P1 (No. 1)
Inequivalent atoms, fractional coordinates:
Ba 0.0000 0.0000 0.0000
Ba 0.9999 0.0003 0.5004
Ba 0.3331 0.6663 0.2499
Ba 0.3338 0.6668 0.7503
Co 0.6650 0.3327 0.1248
Co 0.6659 0.3333 0.3752
Co 0.6673 0.3332 0.8755
Co 0.6682 0.3341 0.6254
O 0.3726 0.1863 0.2514
O 0.3750 0.1870 0.7529
O 0.5183 0.4805 0.9978
O 0.5201 0.0411 0.5054
O 0.5210 0.0406 0.0054
O 0.5206 0.4804 0.4964
O 0.8121 0.1865 0.2536
O 0.8124 0.6256 0.2452
O 0.8128 0.6256 0.7452
O 0.8147 0.1857 0.7532
O 0.9593 0.4799 0.9973
O 0.9599 0.4799 0.4992

=====

No. 3
Ba3Co10O17: computed X-ray diffraction stick pattern (Cu Ka), based on a cell relaxed with PBE+U.
Kinematic intensities with the Lorentz-polarization factor, no thermal factor.

Most intense lines, 2θ from 10° to 90°, by angle:
30.5°, d 2.934, rel. 51, hkl 1 0 10
31.3°, d 2.861, rel. 100, hkl 1 1 0
36.9°, d 2.438, rel. 35, hkl 1 0 13
41.5°, d 2.176, rel. 28, hkl 2 0 8
44.2°, d 2.048, rel. 52, hkl 0 2 10
65.2°, d 1.431, rel. 32, hkl 2 2 0

Cell and atoms:
a b c (Å): 5.7229 5.7229 36.4024
angles (deg): 90.00 90.00 120.00
Space group R-3m (No. 166, hexagonal axes)
Inequivalent atoms, fractional coordinates:
Ba 0.0000 0.0000 0.0000
Ba 0.0000 0.0000 0.3985
Co 0.0000 0.0000 0.0881
Co 0.0000 0.0000 0.2318
Co 0.0000 0.0000 0.3046
Co 0.0000 0.0000 0.5000
Co 0.0000 0.5000 0.5000
O 0.0000 0.0000 0.1405
O 0.0000 0.5000 0.0000
O 0.0205 0.5102 0.8628
O 0.0296 0.5148 0.4025